[1]
Diffraction record for TlAgTe2PdS. The X-ray diffraction stick pattern is calculated, not measured: it uses a cell relaxed with GGA-PBE and Cu Kα (λ = 1.5418 Å).
Neutral-atom scattering factors, no anomalous dispersion.

Cell and atoms:
```
data_TlAgTe2PdS
_chemical_formula_sum 'Tl4 Ag4 Te8 Pd4 S4'
_cell_length_a 4.1198
_cell_length_b 12.6211
_cell_length_c 11.3369
_cell_angle_alpha 90.00
_cell_angle_beta 90.00
_cell_angle_gamma 90.00
_space_group_name_H-M_alt 'C m c m'
_space_group_IT_number 63
_space_group_name_Hall '-C 2c 2'
loop_
_atom_site_label
_atom_site_type_symbol
_atom_site_fract_x
_atom_site_fract_y
_atom_site_fract_z
_atom_site_occupancy
Tl1 Tl 0.0000 0.2203 0.2500 1
Ag1 Ag 0.0000 0.0914 0.7500 1
Te1 Te 0.0000 0.1365 0.5144 1
Pd1 Pd 0.0000 0.5000 0.0000 1
S1 S 0.0000 0.4651 0.7500 1
```

Most intense lines, 10° ≤ 2θ ≤ 90°, in order of falling intensity:
(hkl)  2theta  d_spacing  intensity
1 3 0  30.4  2.943  100
0 0 4  31.6  2.834  97
1 3 1  31.4  2.849  82
1 3 4  44.4  2.042  66
2 0 0  44.0  2.060  41
2 0 4  55.1  1.666  39


[2]
Diffraction record for Ho3Se2N. The X-ray diffraction stick pattern is calculated, not measured: it uses a cell relaxed with GGA-PBE and Cu Kα (λ = 1.5418 Å).
Neutral-atom scattering factors, no anomalous dispersion.

Cell and atoms:
```
data_Ho3Se2N
_chemical_formula_sum 'Ho3 Se2 N1'
_cell_length_a 3.7351
_cell_length_b 3.7351
_cell_length_c 9.9946
_cell_angle_alpha 90.00
_cell_angle_beta 90.00
_cell_angle_gamma 120.00
_space_group_name_H-M_alt 'P -3 m 1'
_space_group_IT_number 164
_space_group_name_Hall '-P 3 2"'
loop_
_atom_site_label
_atom_site_type_symbol
_atom_site_fract_x
_atom_site_fract_y
_atom_site_fract_z
_atom_site_occupancy
Ho1 Ho 0.0000 0.0000 0.0000 1
Ho2 Ho 0.3333 0.6667 0.3745 1
Se1 Se 0.3333 0.6667 0.8167 1
N1 N 0.0000 0.0000 0.5000 1
```

Most intense lines, 10° ≤ 2θ ≤ 90°, in order of falling intensity:
(hkl)  2theta  d_spacing  intensity
1 0 2  33.0  2.715  100
0 1 1  29.0  3.078  40
1 1 0  48.8  1.868  36
0 1 4  45.9  1.977  28
0 1 3  38.8  2.321  22
0 2 2  60.1  1.539  18


[3]
Diffraction record for GdY3C2S2. The X-ray diffraction stick pattern is calculated, not measured: it uses a cell relaxed with GGA-PBE and Cu Kα (λ = 1.5418 Å).
Neutral-atom scattering factors, no anomalous dispersion.

Cell and atoms:
```
data_GdY3C2S2
_chemical_formula_sum 'Gd1 Y3 C2 S2'
_cell_length_a 3.7221
_cell_length_b 3.7221
_cell_length_c 12.9630
_cell_angle_alpha 90.00
_cell_angle_beta 90.00
_cell_angle_gamma 120.00
_space_group_name_H-M_alt 'P 3 m 1'
_space_group_IT_number 156
_space_group_name_Hall 'P 3 -2"'
loop_
_atom_site_label
_atom_site_type_symbol
_atom_site_fract_x
_atom_site_fract_y
_atom_site_fract_z
_atom_site_occupancy
Gd1 Gd 0.0000 0.0000 0.0000 1
Y1 Y 0.0000 0.0000 0.7082 1
Y2 Y 0.3333 0.6667 0.2097 1
Y3 Y 0.3333 0.6667 0.5004 1
C1 C 0.6667 0.3333 0.1051 1
C2 C 0.6667 0.3333 0.6039 1
S1 S 0.0000 0.0000 0.3543 1
S2 S 0.3333 0.6667 0.8528 1
```

Most intense lines, 10° ≤ 2θ ≤ 90°, in order of falling intensity:
(hkl)  2theta  d_spacing  intensity
1 0 3  34.7  2.584  100
0 1 1  28.5  3.128  32
1 0 0  27.7  3.223  31
1 1 0  48.9  1.861  30
0 2 3  61.4  1.510  19
1 1 4  57.1  1.613  17


[4]
Diffraction record for Zr2InBiPd2. The X-ray diffraction stick pattern is calculated, not measured: it uses a cell relaxed with GGA-PBE and Cu Kα (λ = 1.5418 Å).
Neutral-atom scattering factors, no anomalous dispersion.

Cell and atoms:
```
data_Zr2InBiPd2
_chemical_formula_sum 'Zr8 In4 Bi4 Pd8'
_cell_length_a 6.4560
_cell_length_b 6.4560
_cell_length_c 13.0793
_cell_angle_alpha 90.00
_cell_angle_beta 90.00
_cell_angle_gamma 90.00
_space_group_name_H-M_alt 'I -4 2 d'
_space_group_IT_number 122
_space_group_name_Hall 'I -4 2bw'
loop_
_atom_site_label
_atom_site_type_symbol
_atom_site_fract_x
_atom_site_fract_y
_atom_site_fract_z
_atom_site_occupancy
Zr1 Zr 0.0000 0.0000 0.2461 1
In1 In 0.0000 0.0000 0.0000 1
Bi1 Bi 0.0000 0.0000 0.5000 1
Pd1 Pd 0.2477 0.2500 0.1250 1
```

Most intense lines, 10° ≤ 2θ ≤ 90°, in order of falling intensity:
(hkl)  2theta  d_spacing  intensity
2 0 4  39.2  2.297  100
2 2 0  39.5  2.283  49
1 1 2  23.8  3.743  46
4 2 4  71.4  1.321  34
2 0 0  27.6  3.228  21
2 2 8  70.9  1.329  17


[5]
Diffraction record for Mg2Cu2SbAs. The X-ray diffraction stick pattern is calculated, not measured: it uses a cell relaxed with GGA-PBE and Cu Kα (λ = 1.5418 Å).
Neutral-atom scattering factors, no anomalous dispersion.

Cell and atoms:
```
data_Mg2Cu2SbAs
_chemical_formula_sum 'Mg8 Cu8 Sb4 As4'
_cell_length_a 10.5339
_cell_length_b 4.3060
_cell_length_c 10.5386
_cell_angle_alpha 90.00
_cell_angle_beta 109.58
_cell_angle_gamma 90.00
_space_group_name_H-M_alt 'P 1 m 1'
_space_group_IT_number 6
_space_group_name_Hall 'P -2y'
loop_
_atom_site_label
_atom_site_type_symbol
_atom_site_fract_x
_atom_site_fract_y
_atom_site_fract_z
_atom_site_occupancy
Mg1 Mg 0.0000 0.0000 0.0000 1
Mg2 Mg 0.1155 0.5000 0.3712 1
Mg3 Mg 0.2386 0.0000 0.7427 1
Mg4 Mg 0.3747 0.5000 0.1174 1
Mg5 Mg 0.5078 0.0000 0.4917 1
Mg6 Mg 0.6337 0.5000 0.8797 1
Mg7 Mg 0.7542 0.0000 0.2507 1
Mg8 Mg 0.8753 0.5000 0.6166 1
Cu1 Cu 0.1187 0.5000 0.6196 1
Cu2 Cu 0.2439 0.0000 0.9895 1
Cu3 Cu 0.3798 0.5000 0.3695 1
Cu4 Cu 0.4996 0.0000 0.7465 1
Cu5 Cu 0.6327 0.5000 0.1309 1
Cu6 Cu 0.7543 0.0000 0.4936 1
Cu7 Cu 0.8844 0.5000 0.8761 1
Cu8 Cu 0.9963 0.0000 0.2474 1
Sb1 Sb 0.2492 0.0000 0.2448 1
Sb2 Sb 0.3735 0.5000 0.6198 1
Sb3 Sb 0.5020 0.0000 0.9992 1
Sb4 Sb 0.7539 0.0000 0.7479 1
As1 As 0.1233 0.5000 0.8679 1
As2 As 0.6297 0.5000 0.3727 1
As3 As 0.8770 0.5000 0.1248 1
As4 As 0.9967 0.0000 0.4944 1
```

Most intense lines, 10° ≤ 2θ ≤ 90°, in order of falling intensity:
(hkl)  2theta  d_spacing  intensity
0 2 0  42.0  2.151  100
1 1 1  25.4  3.513  71
5 1 -3  49.7  1.835  30
0 3 4  76.7  1.242  21
2 0 2  29.4  3.042  11
1 3 1  67.0  1.396  11


[6]
Diffraction record for TaW5. The X-ray diffraction stick pattern is calculated, not measured: it uses a cell relaxed with GGA-PBE and Cu Kα (λ = 1.5418 Å).
Neutral-atom scattering factors, no anomalous dispersion.

Cell and atoms:
```
data_TaW5
_chemical_formula_sum 'Ta4 W20'
_cell_length_a 5.2489
_cell_length_b 5.2489
_cell_length_c 17.2713
_cell_angle_alpha 90.00
_cell_angle_beta 90.00
_cell_angle_gamma 120.00
_space_group_name_H-M_alt 'P 63/m m c'
_space_group_IT_number 194
_space_group_name_Hall '-P 6c 2c'
loop_
_atom_site_label
_atom_site_type_symbol
_atom_site_fract_x
_atom_site_fract_y
_atom_site_fract_z
_atom_site_occupancy
Ta1 Ta 0.3333 0.6667 0.1234 1
W1 W 0.0000 0.0000 0.0992 1
W2 W 0.0000 0.5000 0.0000 1
W3 W 0.1626 0.3252 0.2500 1
W4 W 0.3333 0.6667 0.6579 1
```

Most intense lines, 10° ≤ 2θ ≤ 90°, in order of falling intensity:
(hkl)  2theta  d_spacing  intensity
1 1 4  40.2  2.243  100
2 0 2  41.1  2.198  60
1 0 6  37.0  2.432  45
2 2 0  72.0  1.312  27
1 1 0  34.2  2.624  26
3 0 4  65.3  1.430  24


[7]
Diffraction record for Cu11Ag9. The X-ray diffraction stick pattern is calculated, not measured: it uses a cell relaxed with GGA-PBE and Cu Kα (λ = 1.5418 Å).
Neutral-atom scattering factors, no anomalous dispersion.

Cell and atoms:
```
data_Cu11Ag9
_chemical_formula_sum 'Cu22 Ag18'
_cell_length_a 6.1132
_cell_length_b 8.7248
_cell_length_c 11.9273
_cell_angle_alpha 73.19
_cell_angle_beta 84.18
_cell_angle_gamma 73.40
_space_group_name_H-M_alt 'P 1'
_space_group_IT_number 1
_space_group_name_Hall 'P 1'
loop_
_atom_site_label
_atom_site_type_symbol
_atom_site_fract_x
_atom_site_fract_y
_atom_site_fract_z
_atom_site_occupancy
Cu1 Cu 0.0000 0.0000 0.0000 1
Cu2 Cu 0.0143 0.7358 0.9392 1
Cu3 Cu 0.0789 0.1739 0.7846 1
Cu4 Cu 0.1436 0.6229 0.6262 1
Cu5 Cu 0.2187 0.7953 0.3903 1
Cu6 Cu 0.2473 0.5392 0.3160 1
Cu7 Cu 0.3036 0.6987 0.1103 1
Cu8 Cu 0.3515 0.1512 0.9491 1
Cu9 Cu 0.3973 0.6058 0.8009 1
Cu10 Cu 0.4312 0.3297 0.7282 1
Cu11 Cu 0.4958 0.5093 0.4930 1
Cu12 Cu 0.5582 0.9454 0.3427 1
Cu13 Cu 0.5774 0.6821 0.2677 1
Cu14 Cu 0.6175 0.4153 0.1947 1
Cu15 Cu 0.6671 0.8470 0.0553 1
Cu16 Cu 0.6951 0.5772 0.9894 1
Cu17 Cu 0.7301 0.0303 0.8393 1
Cu18 Cu 0.8009 0.2058 0.6083 1
Cu19 Cu 0.9072 0.0935 0.2956 1
Cu20 Cu 0.9335 0.8207 0.2193 1
Cu21 Cu 0.9479 0.5676 0.1494 1
Cu22 Cu 0.9736 0.2848 0.0773 1
Ag1 Ag 0.0691 0.4480 0.8524 1
Ag2 Ag 0.0954 0.9054 0.7127 1
Ag3 Ag 0.1640 0.3559 0.5532 1
Ag4 Ag 0.1783 0.0777 0.4705 1
Ag5 Ag 0.2511 0.2613 0.2439 1
Ag6 Ag 0.2716 0.9754 0.1690 1
Ag7 Ag 0.3296 0.4475 0.0255 1
Ag8 Ag 0.3790 0.8689 0.8954 1
Ag9 Ag 0.4639 0.0568 0.6628 1
Ag10 Ag 0.4682 0.7758 0.5716 1
Ag11 Ag 0.5406 0.2302 0.4186 1
Ag12 Ag 0.6438 0.1209 0.1269 1
Ag13 Ag 0.7020 0.3050 0.9013 1
Ag14 Ag 0.7535 0.7444 0.7627 1
Ag15 Ag 0.7726 0.4751 0.6718 1
Ag16 Ag 0.8377 0.9236 0.5234 1
Ag17 Ag 0.8635 0.6604 0.4386 1
Ag18 Ag 0.8759 0.3877 0.3695 1
```

Most intense lines, 10° ≤ 2θ ≤ 90°, in order of falling intensity:
(hkl)  2theta  d_spacing  intensity
-1 3 2  40.2  2.242  100
2 1 -3  40.3  2.236  98
1 4 -1  46.6  1.951  32
3 0 1  47.1  1.931  31
0 2 6  46.9  1.936  30
4 4 0  68.4  1.372  27


[8]
Diffraction record for Li4TaInO6. The X-ray diffraction stick pattern is calculated, not measured: it uses a cell relaxed with GGA-PBE and Cu Kα (λ = 1.5418 Å).
Neutral-atom scattering factors, no anomalous dispersion.

Cell and atoms:
```
data_Li4TaInO6
_chemical_formula_sum 'Li8 Ta2 In2 O12'
_cell_length_a 5.3049
_cell_length_b 9.1648
_cell_length_c 5.2165
_cell_angle_alpha 90.00
_cell_angle_beta 110.06
_cell_angle_gamma 90.00
_space_group_name_H-M_alt 'C 1 2 1'
_space_group_IT_number 5
_space_group_name_Hall 'C 2y'
loop_
_atom_site_label
_atom_site_type_symbol
_atom_site_fract_x
_atom_site_fract_y
_atom_site_fract_z
_atom_site_occupancy
Li1 Li 0.0000 0.0000 0.0000 1
Li2 Li 0.0000 0.1544 0.5000 1
Li3 Li 0.0000 0.3115 0.0000 1
Li4 Li 0.0000 0.6513 0.0000 1
Ta1 Ta 0.0000 0.4873 0.5000 1
In1 In 0.0000 0.8221 0.5000 1
O1 O 0.2319 0.4898 0.2669 1
O2 O 0.2334 0.6447 0.7411 1
O3 O 0.2348 0.3348 0.7407 1
```

Most intense lines, 10° ≤ 2θ ≤ 90°, in order of falling intensity:
(hkl)  2theta  d_spacing  intensity
0 0 1  18.1  4.900  100
1 3 1  42.1  2.146  45
1 1 0  20.3  4.378  44
1 3 0  34.4  2.604  38
1 1 -1  22.8  3.900  33
2 0 0  36.0  2.492  30


[9]
Diffraction record for Lu5Pt4. The X-ray diffraction stick pattern is calculated, not measured: it uses a cell relaxed with GGA-PBE and Cu Kα (λ = 1.5418 Å).
Neutral-atom scattering factors, no anomalous dispersion.

Cell and atoms:
```
data_Lu5Pt4
_chemical_formula_sum 'Lu20 Pt16'
_cell_length_a 7.3372
_cell_length_b 14.3743
_cell_length_c 7.3874
_cell_angle_alpha 90.00
_cell_angle_beta 90.00
_cell_angle_gamma 90.00
_space_group_name_H-M_alt 'P n m a'
_space_group_IT_number 62
_space_group_name_Hall '-P 2ac 2n'
loop_
_atom_site_label
_atom_site_type_symbol
_atom_site_fract_x
_atom_site_fract_y
_atom_site_fract_z
_atom_site_occupancy
Lu1 Lu 0.0136 0.0926 0.1777 1
Lu2 Lu 0.1403 0.6231 0.3334 1
Lu3 Lu 0.1979 0.2500 0.4911 1
Pt1 Pt 0.0634 0.2500 0.8889 1
Pt2 Pt 0.1593 0.7500 0.6457 1
Pt3 Pt 0.1943 0.0406 0.5321 1
```

Most intense lines, 10° ≤ 2θ ≤ 90°, in order of falling intensity:
(hkl)  2theta  d_spacing  intensity
1 3 2  33.0  2.715  100
2 4 1  37.1  2.426  42
3 0 1  38.8  2.322  35
1 1 3  39.1  2.304  30
0 4 2  34.8  2.576  23
2 4 0  35.0  2.564  20


[10]
Diffraction record for YHo2Fe2B2N3. The X-ray diffraction stick pattern is calculated, not measured: it uses a cell relaxed with GGA-PBE and Cu Kα (λ = 1.5418 Å).
Neutral-atom scattering factors, no anomalous dispersion.

Cell and atoms:
```
data_YHo2Fe2B2N3
_chemical_formula_sum 'Y2 Ho4 Fe4 B4 N6'
_cell_length_a 3.4335
_cell_length_b 3.4335
_cell_length_c 20.3841
_cell_angle_alpha 90.00
_cell_angle_beta 90.00
_cell_angle_gamma 90.00
_space_group_name_H-M_alt 'I 4/m m m'
_space_group_IT_number 139
_space_group_name_Hall '-I 4 2'
loop_
_atom_site_label
_atom_site_type_symbol
_atom_site_fract_x
_atom_site_fract_y
_atom_site_fract_z
_atom_site_occupancy
Y1 Y 0.0000 0.0000 0.0000 1
Ho1 Ho 0.0000 0.0000 0.3778 1
Fe1 Fe 0.0000 0.5000 0.2500 1
B1 B 0.0000 0.0000 0.1877 1
N1 N 0.0000 0.0000 0.1148 1
N2 N 0.0000 0.0000 0.5000 1
```

Most intense lines, 10° ≤ 2θ ≤ 90°, in order of falling intensity:
(hkl)  2theta  d_spacing  intensity
1 0 3  29.1  3.064  100
1 0 5  34.1  2.626  97
1 1 4  41.2  2.192  76
0 0 8  35.2  2.548  68
1 1 0  37.0  2.428  48
2 0 0  53.4  1.717  45


[11]
Diffraction record for Dy4S3Br4. The X-ray diffraction stick pattern is calculated, not measured: it uses a cell relaxed with GGA-PBE and Cu Kα (λ = 1.5418 Å).
Neutral-atom scattering factors, no anomalous dispersion.

Cell and atoms:
```
data_Dy4S3Br4
_chemical_formula_sum 'Dy4 S3 Br4'
_cell_length_a 4.4599
_cell_length_b 9.2258
_cell_length_c 7.1201
_cell_angle_alpha 90.00
_cell_angle_beta 90.00
_cell_angle_gamma 90.00
_space_group_name_H-M_alt 'P m m 2'
_space_group_IT_number 25
_space_group_name_Hall 'P 2 -2'
loop_
_atom_site_label
_atom_site_type_symbol
_atom_site_fract_x
_atom_site_fract_y
_atom_site_fract_z
_atom_site_occupancy
Dy1 Dy 0.0000 0.0000 0.0000 1
Dy2 Dy 0.0000 0.5000 0.0862 1
Dy3 Dy 0.5000 0.2180 0.4292 1
S1 S 0.0000 0.2290 0.2250 1
S2 S 0.5000 0.5000 0.2933 1
Br1 Br 0.0000 0.0000 0.5838 1
Br2 Br 0.0000 0.5000 0.6943 1
Br3 Br 0.5000 0.2036 0.8480 1
```

Most intense lines, 10° ≤ 2θ ≤ 90°, in order of falling intensity:
(hkl)  2theta  d_spacing  intensity
1 2 0  27.8  3.206  100
1 0 2  32.2  2.782  52
0 2 2  31.7  2.819  39
1 0 1  23.5  3.780  38
0 2 1  23.0  3.871  33
2 0 0  40.5  2.230  31